Starting from the GGA-PBE geometry in OQMD, the powder X-ray diffraction pattern of CuBH8C8BrN4F4 was computed for Cu Kα X-rays.
Peak positions follow from Bragg's law for the DFT cell and can differ from measured ones.

Peak list (10 most intense, 5° ≤ 2θ ≤ 70°, by angle)
d = 6.822 Å, 12.98°, I = 100; d = 4.824 Å, 18.39°, I = 55; d = 3.706 Å, 24.01°, I = 44; d = 3.411 Å, 26.12°, I = 79; d = 3.051 Å, 29.27°, I = 34; d = 2.665 Å, 33.62°, I = 57; d = 2.483 Å, 36.18°, I = 42; d = 2.157 Å, 41.88°, I = 31; d = 1.892 Å, 48.09°, I = 28; d = 1.730 Å, 52.93°, I = 26

Structural model:
```
data_CuBH8C8BrN4F4
_cell_length_a 9.648
_cell_length_b 9.648
_cell_length_c 5.791
_cell_angle_alpha 90.00
_cell_angle_beta 90.00
_cell_angle_gamma 90.00
_symmetry_space_group_name_H-M 'P 1'
_symmetry_Int_Tables_number 1
loop_
_symmetry_equiv_pos_as_xyz
'x,y,z'
loop_
_atom_site_label
_atom_site_type_symbol
_atom_site_fract_x
_atom_site_fract_y
_atom_site_fract_z
Cu1 Cu 0.250 0.250 0.000
Cu2 Cu 0.750 0.750 0.000
B1 B 0.250 0.750 0.500
B2 B 0.750 0.250 0.500
H1 H 0.007 0.178 0.296
H2 H 0.007 0.322 0.704
H3 H 0.178 0.007 0.704
H4 H 0.178 0.493 0.296
H5 H 0.322 0.007 0.296
H6 H 0.322 0.493 0.704
H7 H 0.493 0.178 0.704
H8 H 0.493 0.322 0.296
H9 H 0.507 0.678 0.704
H10 H 0.507 0.822 0.296
H11 H 0.678 0.507 0.296
H12 H 0.678 0.993 0.704
H13 H 0.822 0.507 0.704
H14 H 0.822 0.993 0.296
H15 H 0.993 0.678 0.296
H16 H 0.993 0.822 0.704
C1 C 0.003 0.099 0.164
C2 C 0.003 0.401 0.836
C3 C 0.099 0.003 0.836
C4 C 0.099 0.497 0.164
C5 C 0.401 0.003 0.164
C6 C 0.401 0.497 0.836
C7 C 0.497 0.099 0.836
C8 C 0.497 0.401 0.164
C9 C 0.503 0.599 0.836
C10 C 0.503 0.901 0.164
C11 C 0.599 0.503 0.164
C12 C 0.599 0.997 0.836
C13 C 0.901 0.503 0.836
C14 C 0.901 0.997 0.164
C15 C 0.997 0.599 0.164
C16 C 0.997 0.901 0.836
Br1 Br 0.250 0.250 0.500
Br2 Br 0.750 0.750 0.500
N1 N 0.101 0.101 0.000
N2 N 0.101 0.399 0.000
N3 N 0.399 0.101 0.000
N4 N 0.399 0.399 0.000
N5 N 0.601 0.601 0.000
N6 N 0.601 0.899 0.000
N7 N 0.899 0.601 0.000
N8 N 0.899 0.899 0.000
F1 F 0.165 0.665 0.640
F2 F 0.165 0.835 0.360
F3 F 0.335 0.665 0.360
F4 F 0.335 0.835 0.640
F5 F 0.665 0.165 0.360
F6 F 0.665 0.335 0.640
F7 F 0.835 0.165 0.640
F8 F 0.835 0.335 0.360
```

Starting from the GGA-PBE geometry in OQMD, the powder X-ray diffraction pattern of Dy4BBr2Cl3 was computed for Cu Kα X-rays.
Peak positions follow from Bragg's law for the DFT cell and can differ from measured ones.

Peak list (10 most intense, 5° ≤ 2θ ≤ 70°, by angle)
d = 8.666 Å, 10.21°, I = 27; d = 7.676 Å, 11.53°, I = 90; d = 3.201 Å, 27.87°, I = 20; d = 2.889 Å, 30.96°, I = 46; d = 2.750 Å, 32.56°, I = 100; d = 2.601 Å, 34.49°, I = 22; d = 2.573 Å, 34.87°, I = 40; d = 2.165 Å, 41.72°, I = 27; d = 1.992 Å, 45.54°, I = 57; d = 1.923 Å, 47.27°, I = 19

Structural model:
```
data_Dy4BBr2Cl3
_cell_length_a 9.090
_cell_length_b 9.090
_cell_length_c 7.869
_cell_angle_alpha 102.43
_cell_angle_beta 102.43
_cell_angle_gamma 24.42
_symmetry_space_group_name_H-M 'P 1'
_symmetry_Int_Tables_number 1
loop_
_symmetry_equiv_pos_as_xyz
'x,y,z'
loop_
_atom_site_label
_atom_site_type_symbol
_atom_site_fract_x
_atom_site_fract_y
_atom_site_fract_z
Dy1 Dy 0.000 0.000 0.217
Dy2 Dy 0.000 0.000 0.783
Dy3 Dy 0.357 0.357 0.920
Dy4 Dy 0.643 0.643 0.080
B1 B 0.500 0.500 0.000
Br1 Br 0.172 0.172 0.824
Br2 Br 0.828 0.828 0.176
Cl1 Cl 0.160 0.160 0.331
Cl2 Cl 0.500 0.500 0.500
Cl3 Cl 0.840 0.840 0.669
```

Starting from the GGA-PBE geometry in OQMD, the powder X-ray diffraction pattern of Dy2Ho2BBr2Cl3 was computed for Cu Kα X-rays.
Peak positions follow from Bragg's law for the DFT cell and can differ from measured ones.

Peak list (10 most intense, 5° ≤ 2θ ≤ 70°, by angle)
d = 8.651 Å, 10.23°, I = 29; d = 7.647 Å, 11.57°, I = 90; d = 3.192 Å, 27.95°, I = 20; d = 2.884 Å, 31.01°, I = 47; d = 2.739 Å, 32.69°, I = 100; d = 2.566 Å, 34.97°, I = 40; d = 2.156 Å, 41.91°, I = 21; d = 1.988 Å, 45.63°, I = 31; d = 1.984 Å, 45.73°, I = 26; d = 1.916 Å, 47.45°, I = 19

Structural model:
```
data_Dy2Ho2BBr2Cl3
_cell_length_a 9.069
_cell_length_b 9.069
_cell_length_c 7.835
_cell_angle_alpha 102.31
_cell_angle_beta 102.31
_cell_angle_gamma 24.39
_symmetry_space_group_name_H-M 'P 1'
_symmetry_Int_Tables_number 1
loop_
_symmetry_equiv_pos_as_xyz
'x,y,z'
loop_
_atom_site_label
_atom_site_type_symbol
_atom_site_fract_x
_atom_site_fract_y
_atom_site_fract_z
Dy1 Dy 0.143 0.143 0.080
Dy2 Dy 0.857 0.857 0.920
Ho1 Ho 0.500 0.500 0.216
Ho2 Ho 0.500 0.500 0.784
B1 B 0.000 0.000 0.000
Br1 Br 0.328 0.328 0.178
Br2 Br 0.672 0.672 0.822
Cl1 Cl 0.000 0.000 0.500
Cl2 Cl 0.341 0.341 0.668
Cl3 Cl 0.659 0.659 0.332
```

Starting from the GGA-PBE geometry in OQMD, the powder X-ray diffraction pattern of Dy4BIBr2Cl2 was computed for Cu Kα X-rays.
Peak positions follow from Bragg's law for the DFT cell and can differ from measured ones.

Peak list (10 most intense, 5° ≤ 2θ ≤ 70°, by angle)
d = 8.398 Å, 10.53°, I = 36; d = 8.313 Å, 10.64°, I = 42; d = 5.301 Å, 16.72°, I = 20; d = 4.177 Å, 21.27°, I = 24; d = 3.151 Å, 28.32°, I = 29; d = 2.896 Å, 30.88°, I = 100; d = 2.869 Å, 31.18°, I = 38; d = 2.799 Å, 31.97°, I = 44; d = 2.016 Å, 44.95°, I = 29; d = 2.009 Å, 45.13°, I = 29

Structural model:
```
data_Dy4BIBr2Cl2
_cell_length_a 8.876
_cell_length_b 8.876
_cell_length_c 8.568
_cell_angle_alpha 103.66
_cell_angle_beta 103.66
_cell_angle_gamma 25.58
_symmetry_space_group_name_H-M 'P 1'
_symmetry_Int_Tables_number 1
loop_
_symmetry_equiv_pos_as_xyz
'x,y,z'
loop_
_atom_site_label
_atom_site_type_symbol
_atom_site_fract_x
_atom_site_fract_y
_atom_site_fract_z
Dy1 Dy 0.001 0.001 0.303
Dy2 Dy 0.352 0.352 0.426
Dy3 Dy 0.648 0.648 0.574
Dy4 Dy 0.999 0.999 0.697
B1 B 0.500 0.500 0.500
I1 I 0.500 0.500 0.000
Br1 Br 0.173 0.173 0.825
Br2 Br 0.827 0.827 0.175
Cl1 Cl 0.171 0.171 0.360
Cl2 Cl 0.829 0.829 0.640
```

Copy entry 2 word for word.
Starting from the GGA-PBE geometry in OQMD, the powder X-ray diffraction pattern of Dy4BBr2Cl3 was computed for Cu Kα X-rays.
Peak positions follow from Bragg's law for the DFT cell and can differ from measured ones.

Peak list (10 most intense, 5° ≤ 2θ ≤ 70°, by angle)
d = 8.666 Å, 10.21°, I = 27; d = 7.676 Å, 11.53°, I = 90; d = 3.201 Å, 27.87°, I = 20; d = 2.889 Å, 30.96°, I = 46; d = 2.750 Å, 32.56°, I = 100; d = 2.601 Å, 34.49°, I = 22; d = 2.573 Å, 34.87°, I = 40; d = 2.165 Å, 41.72°, I = 27; d = 1.992 Å, 45.54°, I = 57; d = 1.923 Å, 47.27°, I = 19

Structural model:
```
data_Dy4BBr2Cl3
_cell_length_a 9.090
_cell_length_b 9.090
_cell_length_c 7.869
_cell_angle_alpha 102.43
_cell_angle_beta 102.43
_cell_angle_gamma 24.42
_symmetry_space_group_name_H-M 'P 1'
_symmetry_Int_Tables_number 1
loop_
_symmetry_equiv_pos_as_xyz
'x,y,z'
loop_
_atom_site_label
_atom_site_type_symbol
_atom_site_fract_x
_atom_site_fract_y
_atom_site_fract_z
Dy1 Dy 0.000 0.000 0.217
Dy2 Dy 0.000 0.000 0.783
Dy3 Dy 0.357 0.357 0.920
Dy4 Dy 0.643 0.643 0.080
B1 B 0.500 0.500 0.000
Br1 Br 0.172 0.172 0.824
Br2 Br 0.828 0.828 0.176
Cl1 Cl 0.160 0.160 0.331
Cl2 Cl 0.500 0.500 0.500
Cl3 Cl 0.840 0.840 0.669
```